Diffraction record for Co2Bi11O20. The powder diffraction line list is simulated, not measured: it uses a DFT-relaxed cell (GGA+U, Alexandria) and copper Kα.
Peak positions follow from Bragg's law for the DFT cell and can differ from measured ones.

Structure:
```
data_Co2Bi11O20
_cell_length_a 8.653
_cell_length_b 8.937
_cell_length_c 8.951
_cell_angle_alpha 109.13
_cell_angle_beta 108.69
_cell_angle_gamma 108.29
_symmetry_space_group_name_H-M 'P 1'
_symmetry_Int_Tables_number 1
_symmetry_space_group_name_Hall 'P 1'
loop_
_atom_site_label
_atom_site_type_symbol
_atom_site_fract_x
_atom_site_fract_y
_atom_site_fract_z
Co1 Co 0.000 0.000 0.000
Co2 Co 0.455 0.218 0.148
Bi1 Bi 0.108 0.299 0.845
Bi2 Bi 0.150 0.472 0.298
Bi3 Bi 0.163 0.825 0.687
Bi4 Bi 0.291 0.134 0.493
Bi5 Bi 0.310 0.807 0.128
Bi6 Bi 0.464 0.612 0.793
Bi7 Bi 0.637 0.790 0.514
Bi8 Bi 0.665 0.183 0.879
Bi9 Bi 0.769 0.459 0.635
Bi10 Bi 0.820 0.120 0.339
Bi11 Bi 0.827 0.683 0.212
O1 O 0.003 0.805 0.005
O2 O 0.087 0.700 0.361
O3 O 0.221 0.590 0.877
O4 O 0.233 0.212 0.146
O5 O 0.233 0.346 0.607
O6 O 0.327 0.075 0.713
O7 O 0.354 0.724 0.637
O8 O 0.364 0.610 0.258
O9 O 0.377 0.973 0.990
O10 O 0.575 0.576 0.595
O11 O 0.584 0.226 0.369
O12 O 0.605 0.350 0.746
O13 O 0.611 0.859 0.241
O14 O 0.639 0.338 0.100
O15 O 0.780 0.660 0.425
O16 O 0.830 0.045 0.053
O17 O 0.854 0.217 0.625
O18 O 0.957 0.987 0.783
O19 O 0.971 0.384 0.008
O20 O 0.987 0.981 0.391
```

Top 10 peaks for 2θ = 10–80°, low angle first:
| hkl | 2theta | d/Å | Rel. int. |
| --- | --- | --- | --- |
| -1 1 2 | 26.9 | 3.316 | 583 |
| 1 2 -1 | 27.0 | 3.298 | 806 |
| 1 -2 2 | 27.4 | 3.252 | 824 |
| 2 -1 1 | 27.5 | 3.241 | 914 |
| -2 2 1 | 27.6 | 3.227 | 1000 |
| 2 1 -2 | 27.7 | 3.217 | 494 |
| 1 1 -3 | 30.0 | 2.980 | 650 |
| 0 1 2 | 31.5 | 2.838 | 424 |
| 1 0 -3 | 32.1 | 2.790 | 676 |
| 3 0 -2 | 33.4 | 2.683 | 468 |